No. 1
Theoretical powder diffraction line list of TeC4Br2F6 for Cu Ka, from the GGA-PBE geometry in the Materials Project.
No peak broadening, texture or thermal motion is included.

Top 6 peaks for 2θ = 10–90°, sorted by position:
| d/Å | 2θ (°) | I (rel.) |
| --- | --- | --- |
| 6.952 | 12.73 | 100 |
| 4.144 | 21.44 | 75 |
| 3.398 | 26.22 | 95 |
| 2.980 | 29.98 | 76 |
| 2.787 | 32.12 | 62 |
| 2.675 | 33.50 | 76 |

Structural model:
```
TeC4Br2F6
1.0
9.364 0.000 0.000
0.261 11.057 0.000
0.422 5.197 10.049
Te C Br F
4 16 8 24
direct
0.082 0.389 0.369
0.215 0.830 0.208
0.785 0.170 0.792
0.918 0.611 0.631
0.004 0.733 0.715
0.138 0.720 0.757
0.296 0.373 0.298
0.334 0.383 0.179
0.346 0.973 0.361
0.360 0.951 0.255
0.389 0.744 0.143
0.484 0.298 0.799
0.516 0.702 0.201
0.611 0.256 0.857
0.640 0.049 0.745
0.654 0.027 0.639
0.666 0.617 0.821
0.704 0.627 0.702
0.862 0.280 0.243
0.996 0.267 0.285
0.031 0.626 0.138
0.135 0.162 0.590
0.205 0.031 0.967
0.235 0.602 0.463
0.765 0.398 0.537
0.795 0.969 0.033
0.865 0.838 0.410
0.969 0.374 0.862
0.080 0.165 0.286
0.195 0.801 0.799
0.228 0.624 0.761
0.244 0.403 0.084
0.249 0.914 0.458
0.366 0.732 0.032
0.382 0.353 0.844
0.399 0.352 0.386
0.428 0.058 0.381
0.447 0.290 0.691
0.465 0.017 0.163
0.469 0.373 0.142
0.531 0.627 0.858
0.535 0.983 0.837
0.553 0.710 0.309
0.572 0.942 0.619
0.601 0.648 0.614
0.618 0.647 0.156
0.634 0.268 0.968
0.751 0.086 0.542
0.756 0.597 0.916
0.772 0.376 0.239
0.805 0.199 0.201
0.920 0.835 0.714
```

No. 2
Theoretical powder diffraction line list of Er2MgGa for Cu Ka, from the GGA-PBE geometry in the Materials Project.
No peak broadening, texture or thermal motion is included.

Top 6 peaks for 2θ = 10–90°, sorted by position:
| d/Å | 2θ (°) | I (rel.) |
| --- | --- | --- |
| 3.625 | 24.56 | 36 |
| 2.563 | 35.01 | 100 |
| 1.812 | 50.34 | 18 |
| 1.621 | 56.79 | 15 |
| 1.480 | 62.79 | 37 |
| 1.146 | 84.52 | 16 |

Structural model:
```
Er2MgGa
1.0
0.000 3.625 3.625
3.625 0.000 3.625
3.625 3.625 0.000
Er Mg Ga
2 1 1
direct
0.250 0.250 0.250
0.750 0.750 0.750
0.000 0.000 0.000
0.500 0.500 0.500
```

No. 3
Theoretical powder diffraction line list of EuCuSeF for Cu Ka, from the GGA-PBE geometry in the Materials Project.
No peak broadening, texture or thermal motion is included.

Top 6 peaks for 2θ = 10–90°, sorted by position:
| d/Å | 2θ (°) | I (rel.) |
| --- | --- | --- |
| 2.982 | 29.96 | 100 |
| 2.860 | 31.28 | 23 |
| 2.400 | 37.47 | 64 |
| 2.022 | 44.82 | 43 |
| 1.938 | 46.89 | 32 |
| 1.674 | 54.85 | 36 |

Structural model:
```
EuCuSeF
1.0
4.045 0.000 0.000
0.000 4.045 0.000
0.000 0.000 8.830
Eu Cu Se F
2 2 2 2
direct
0.250 0.250 0.168
0.750 0.750 0.832
0.250 0.750 0.500
0.750 0.250 0.500
0.250 0.250 0.673
0.750 0.750 0.327
0.250 0.750 0.000
0.750 0.250 0.000
```

No. 4
Theoretical powder diffraction line list of NdCuGe2 for Cu Ka, from the GGA-PBE geometry in the Materials Project.
No peak broadening, texture or thermal motion is included.

Top 6 peaks for 2θ = 10–90°, sorted by position:
| d/Å | 2θ (°) | I (rel.) |
| --- | --- | --- |
| 2.702 | 33.16 | 40 |
| 2.676 | 33.49 | 100 |
| 2.398 | 37.51 | 23 |
| 2.139 | 42.26 | 28 |
| 2.125 | 42.55 | 28 |
| 1.670 | 54.98 | 18 |

Structural model:
```
NdCuGe2
1.0
2.139 -8.712 0.000
2.139 8.712 0.000
0.000 0.000 4.249
Nd Cu Ge
2 2 4
direct
0.104 0.896 0.750
0.896 0.104 0.250
0.326 0.674 0.750
0.674 0.326 0.250
0.249 0.751 0.250
0.462 0.538 0.750
0.538 0.462 0.250
0.751 0.249 0.750
```

No. 5
Theoretical powder diffraction line list of Li2Al2SiO6 for Cu Ka, from the GGA-PBE geometry in the Materials Project.
No peak broadening, texture or thermal motion is included.

Top 6 peaks for 2θ = 10–90°, sorted by position:
| d/Å | 2θ (°) | I (rel.) |
| --- | --- | --- |
| 4.602 | 19.29 | 5 |
| 3.602 | 24.72 | 100 |
| 1.957 | 46.40 | 23 |
| 1.666 | 55.13 | 11 |
| 1.478 | 62.88 | 11 |
| 1.329 | 70.92 | 5 |

Structural model:
```
Li2Al2SiO6
1.0
2.656 -4.606 0.000
2.656 4.606 0.000
0.000 0.000 5.785
Li Al Si O
2 2 1 6
direct
0.000 0.000 0.217
0.000 0.000 0.783
0.000 0.500 0.838
0.500 0.000 0.162
0.500 0.500 0.500
0.176 0.824 0.000
0.215 0.409 0.662
0.409 0.215 0.338
0.591 0.785 0.338
0.785 0.591 0.662
0.824 0.176 0.000
```